Computed powder X-ray diffraction pattern
Compound: UCoP2
Radiation: Cu Kα (λ = 1.5418 Å)
Structure: the GGA-PBE geometry in the Materials Project

The 6 most intense peaks (2θ = 5–70°), sorted by position:
(1 0 1), 2θ 25.9, rel. 100; (1 0 3), 2θ 38.2, rel. 51; (1 1 2), 2θ 39.6, rel. 85; (2 0 0), 2θ 49.2, rel. 27; (2 1 1), 2θ 56.4, rel. 26; (2 1 3), 2θ 63.9, rel. 23

Atomic structure:
Cell: 3.706 3.706 9.171 Å, 90.00 90.00 90.00°
Space group P4/nmm (No. 129, origin choice 2)
One atom of each set of equivalent atoms:
U  0.250  0.250  0.236 [2 per cell]
Co  0.250  0.750  0.500 [2 per cell]
P  0.250  0.250  0.639 [2 per cell]
P  0.250  0.750  0.000 [2 per cell]

---

Computed powder X-ray diffraction pattern
Compound: AlMo4S8
Radiation: Cu Kα (λ = 1.5418 Å)
Structure: the GGA-PBE geometry in the Materials Project

The 6 most intense peaks (2θ = 5–70°), sorted by position:
(0 0 1), 2θ 13.2, rel. 67; (1 1 0), 2θ 13.9, rel. 89; (1 1 -1), 2θ 15.9, rel. 78; (2 0 -1), 2θ 16.3, rel. 100; (0 2 1), 2θ 25.2, rel. 66; (2 2 2), 2θ 44.9, rel. 85

Atomic structure:
Cell: 11.359 8.329 7.651 Å, 90.00 118.88 90.00°
Space group Cm (No. 8)
One atom of each set of equivalent atoms:
Al  0.000  0.000  0.000 [2 per cell]
Mo  0.078  0.000  0.427 [2 per cell]
Mo  0.300  0.249  0.915 [4 per cell]
Mo  0.303  0.500  0.158 [2 per cell]
S  0.160  0.500  0.267 [2 per cell]
S  0.187  0.500  0.805 [2 per cell]
S  0.206  0.000  0.270 [2 per cell]
S  0.210  0.000  0.768 [2 per cell]
S  0.445  0.276  0.261 [4 per cell]
S  0.451  0.283  0.801 [4 per cell]

---

Computed powder X-ray diffraction pattern
Compound: Gd2CuRu
Radiation: Cu Kα (λ = 1.5418 Å)
Structure: the GGA-PBE geometry in the Materials Project

The 6 most intense peaks (2θ = 5–70°), sorted by position:
(2 0 0), 2θ 25.8, rel. 10; (2 2 0), 2θ 36.8, rel. 100; (2 2 2), 2θ 45.5, rel. 3; (4 0 0), 2θ 53.0, rel. 17; (4 2 0), 2θ 59.9, rel. 4; (4 2 2), 2θ 66.3, rel. 35

Atomic structure:
Cell: 6.906 6.906 6.906 Å, 90.00 90.00 90.00°
Space group Fm-3m (No. 225)
One atom of each set of equivalent atoms:
Gd  0.250  0.250  0.250 [8 per cell]
Cu  0.000  0.000  0.000 [4 per cell]
Ru  0.000  0.000  0.500 [4 per cell]